1.
This entry pairs a crystal structure of Pm12SnRh6 with its theoretical XRD peak list. Radiation: copper Kα. Structure: DFT lattice parameters and positions (PBE).
Peak positions follow from Bragg's law for the DFT cell and can differ from measured ones.

Main lines, in order of rising 2θ (2θ from 10° to 90°):
- 3.265 Å, rel. 42
- 3.214 Å, rel. 91
- 3.037 Å, rel. 49
- 2.795 Å, rel. 42
- 2.743 Å, rel. 52
- 2.712 Å, rel. 50
- 2.703 Å, rel. 100
- 2.446 Å, rel. 31
- 2.390 Å, rel. 32
- 2.019 Å, rel. 41

Cell and atoms:
```
19
Lattice="7.1505 4.1283 3.0367 -7.1505 4.1283 3.0367 0.0000 -8.2567 3.0367" Properties=species:S:1:pos:R:3 pbc="T T T"
Pm -2.1459 0.7605 1.5205
Pm 0.4143 -2.2386 1.5205
Pm -2.1006 -2.6872 3.8571
Pm 1.7316 1.4781 1.5205
Pm -3.3775 0.4756 5.2530
Pm -1.2769 3.1628 3.8571
Pm 1.2769 -3.1628 5.2530
Pm 3.3775 -0.4756 3.8571
Pm -1.7316 -1.4781 7.5896
Pm 2.1006 2.6872 5.2530
Pm -0.4143 2.2386 7.5896
Pm 2.1459 -0.7605 7.5896
Sn 0.0000 0.0000 4.5550
Rh -4.6055 -2.0734 4.9621
Rh -0.5071 -5.0252 4.1480
Rh -4.0984 2.9518 4.1480
Rh 4.0984 -2.9518 4.9621
Rh 0.5071 5.0251 4.9621
Rh 4.6055 2.0734 4.1480
```

2.
This entry pairs a crystal structure of Y4Zn3Sn with its theoretical XRD peak list. Radiation: copper Kα. Structure: DFT lattice parameters and positions (PBE).
Peak positions follow from Bragg's law for the DFT cell and can differ from measured ones.

Main lines, in order of rising 2θ (2θ from 10° to 90°):
- 2.577 Å, rel. 99
- 2.559 Å, rel. 100
- 1.816 Å, rel. 34
- 1.492 Å, rel. 16
- 1.481 Å, rel. 34
- 1.478 Å, rel. 18
- 1.289 Å, rel. 10
- 1.280 Å, rel. 11
- 1.151 Å, rel. 14
- 1.146 Å, rel. 15

Cell and atoms:
```
8
Lattice="2.5594 1.4777 8.4474 -2.5594 1.4777 8.4474 0.0000 -2.9553 8.4474" Properties=species:S:1:pos:R:3 pbc="T T T"
Y 0.0000 0.0000 3.0718
Y 0.0000 0.0000 9.4230
Y 0.0000 0.0000 15.9191
Y 0.0000 0.0000 22.2703
Zn 0.0000 0.0000 0.0000
Zn 0.0000 0.0000 6.4481
Zn 0.0000 0.0000 18.8940
Sn 0.0000 0.0000 12.6710
```

3.
This entry pairs a crystal structure of PmFeH8Rh4 with its theoretical XRD peak list. Radiation: copper Kα. Structure: DFT lattice parameters and positions (PBE).
Peak positions follow from Bragg's law for the DFT cell and can differ from measured ones.

Main lines, in order of rising 2θ (2θ from 10° to 90°):
- 2.843 Å, rel. 31
- 2.772 Å, rel. 62
- 2.422 Å, rel. 89
- 2.399 Å, rel. 100
- 2.356 Å, rel. 54
- 2.312 Å, rel. 58
- 1.627 Å, rel. 25
- 1.529 Å, rel. 28
- 1.422 Å, rel. 34
- 1.386 Å, rel. 29

Cell and atoms:
```
14
Lattice="2.8433 1.6416 4.4707 -2.8433 1.6416 4.4707 0.0000 -3.2832 4.4707" Properties=species:S:1:pos:R:3 pbc="T T T"
Pm 0.0000 0.0000 0.0000
Fe 0.0000 0.0000 8.1679
H 0.0000 -1.6124 7.0705
H -1.3964 0.8062 7.0705
H 0.0000 0.0000 5.0639
H -1.0031 -0.5791 9.4656
H 1.0031 -0.5791 9.4656
H 0.0000 1.1583 9.4656
H 0.0000 0.0000 11.2154
H 1.3964 0.8062 7.0705
Rh -1.4053 -0.8114 6.0638
Rh 0.0000 0.0000 3.2953
Rh 1.4053 -0.8114 6.0638
Rh 0.0000 1.6227 6.0638
```

4.
This entry pairs a crystal structure of Tl7In12Sn with its theoretical XRD peak list. Radiation: copper Kα. Structure: DFT lattice parameters and positions (PBE).
Peak positions follow from Bragg's law for the DFT cell and can differ from measured ones.

Main lines, in order of rising 2θ (2θ from 10° to 90°):
- 5.316 Å, rel. 40
- 2.911 Å, rel. 54
- 2.876 Å, rel. 53
- 2.808 Å, rel. 68
- 2.687 Å, rel. 61
- 2.665 Å, rel. 100
- 2.651 Å, rel. 97
- 2.628 Å, rel. 97
- 2.595 Å, rel. 43
- 2.582 Å, rel. 37

Cell and atoms:
```
20
Lattice="6.5268 0.0000 0.0000 -1.8801 10.5114 0.0000 -1.8870 -5.3091 9.2439" Properties=species:S:1:pos:R:3 pbc="T T T"
Tl 0.0000 0.0000 0.0000
Tl -1.7059 2.3394 7.5004
Tl 0.4752 -2.4430 7.5776
Tl 0.4556 5.3374 5.9124
Tl 2.3041 -0.1351 3.3315
Tl 2.2845 7.6453 1.6663
Tl 4.4655 2.8629 1.7435
In -2.7897 5.3733 6.0694
In -0.9798 7.6865 1.3311
In -1.2228 7.7173 4.3520
In -0.2413 2.5070 4.5478
In 0.7062 5.1252 0.2588
In 1.2655 2.5035 1.7034
In 1.4942 2.6988 7.5406
In 2.0534 0.0771 8.9851
In 3.0010 2.6953 4.6961
In 3.9824 -2.5150 4.8919
In 3.7395 -2.4842 7.9128
In 5.5494 -0.1710 3.1745
Sn 3.2634 0.0000 0.0000
```